Diffraction record for Rb2CuS2O14. The XRD peak list is theoretical, not measured: it uses a cell relaxed with PBE and Cu Kα X-rays.

Main lines, in order of rising 2θ (2θ = 15–90°):
(hkl)	2θ (°)	Rel. int.
1 1 1	21.25	100
0 3 1	22.40	84
1 0 -2	23.77	58
0 4 0	25.65	27
2 1 -1	28.25	46
1 3 -3	39.48	31

Crystal structure
```
data_Rb2CuS2O14
_chemical_formula_sum 'Rb4 Cu2 S4 O28'
_cell_length_a 6.572
_cell_length_b 13.893
_cell_length_c 7.964
_cell_angle_alpha 90.00
_cell_angle_beta 104.76
_cell_angle_gamma 90.00
_space_group_name_H-M_alt 'P 1 21/c 1'
_space_group_IT_number 14
_space_group_name_Hall '-P 2ybc'
loop_
_atom_site_label
_atom_site_fract_x
_atom_site_fract_y
_atom_site_fract_z
Rb1 0.151 0.145 0.368
Cu1 0.500 0.000 0.000
S1 0.252 0.644 0.904
O1 0.088 0.717 0.880
O2 0.152 0.561 0.720
O3 0.195 0.588 0.574
O4 0.253 0.575 0.042
O5 0.333 0.105 0.916
O6 0.411 0.111 0.092
O7 0.453 0.674 0.881
```

---

Diffraction record for NdY3. The XRD peak list is theoretical, not measured: it uses a cell relaxed with PBE and Cu Kα X-rays.

Main lines, in order of rising 2θ (2θ = 15–90°):
(hkl)	2θ (°)	Rel. int.
1 1 1	30.36	100
2 0 0	35.20	50
2 2 0	50.64	35
3 1 1	60.19	41
3 3 1	82.45	17
4 2 0	85.09	15

Crystal structure
```
data_NdY3
_chemical_formula_sum 'Nd1 Y3'
_cell_length_a 5.099
_cell_length_b 5.099
_cell_length_c 5.099
_cell_angle_alpha 90.00
_cell_angle_beta 90.00
_cell_angle_gamma 90.00
_space_group_name_H-M_alt 'P m -3 m'
_space_group_IT_number 221
_space_group_name_Hall '-P 4 2 3'
loop_
_atom_site_label
_atom_site_fract_x
_atom_site_fract_y
_atom_site_fract_z
Nd1 0.000 0.000 0.000
Y1 0.000 0.500 0.500
```

---

Diffraction record for Ho4Ni. The XRD peak list is theoretical, not measured: it uses a cell relaxed with PBE and Cu Kα X-rays.

Main lines, in order of rising 2θ (2θ = 15–90°):
(hkl)	2θ (°)	Rel. int.
2 2 2	29.33	100
4 0 0	34.00	40
5 1 1	44.64	14
4 4 0	48.84	40
6 2 2	58.00	36
6 6 2	79.16	12

Crystal structure
a = 10.548 Å, b = 10.548 Å, c = 10.548 Å
α = 90.00°, β = 90.00°, γ = 90.00°
Space group Fd-3m (No. 227, origin choice 2)
One atom of each set of equivalent atoms:
Ho 0.013 0.013 0.237 x32
Ni 0.125 0.125 0.625 x8

---

Diffraction record for DyCoSi2. The XRD peak list is theoretical, not measured: it uses a cell relaxed with PBE and Cu Kα X-rays.

Main lines, in order of rising 2θ (2θ = 15–90°):
(hkl)	2θ (°)	Rel. int.
0 4 0	21.94	34
0 2 1	24.89	34
1 1 1	32.07	77
1 5 0	35.55	72
1 3 1	35.79	100
0 6 1	40.33	38

Crystal structure
```
data_DyCoSi2
_chemical_formula_sum 'Dy4 Co4 Si8'
_cell_length_a 4.027
_cell_length_b 16.208
_cell_length_c 3.986
_cell_angle_alpha 90.00
_cell_angle_beta 90.00
_cell_angle_gamma 90.00
_space_group_name_H-M_alt 'C m c m'
_space_group_IT_number 63
_space_group_name_Hall '-C 2c 2'
loop_
_atom_site_label
_atom_site_fract_x
_atom_site_fract_y
_atom_site_fract_z
Dy1 0.000 0.107 0.250
Co1 0.000 0.321 0.250
Si1 0.000 0.250 0.750
Si2 0.000 0.458 0.250
```

---

Diffraction record for UNiAs2. The XRD peak list is theoretical, not measured: it uses a cell relaxed with PBE and Cu Kα X-rays.

Main lines, in order of rising 2θ (2θ = 15–90°):
(hkl)	2θ (°)	Rel. int.
1 0 1	24.54	48
1 0 3	37.19	37
1 1 2	37.72	100
2 0 0	45.96	36
1 0 5	55.22	19
3 1 2	79.55	23

Crystal structure
```
data_UNiAs2
_chemical_formula_sum 'U2 Ni2 As4'
_cell_length_a 3.949
_cell_length_b 3.949
_cell_length_c 9.171
_cell_angle_alpha 90.00
_cell_angle_beta 90.00
_cell_angle_gamma 90.00
_space_group_name_H-M_alt 'P 4/n m m'
_space_group_IT_number 129
loop_
_space_group_symop_operation_xyz
'x,y,z'
'-x,-y,-z'
'-y+1/2,x,z'
'y+1/2,-x,-z'
'-x+1/2,-y+1/2,z'
'x+1/2,y+1/2,-z'
'y,-x+1/2,z'
'-y,x+1/2,-z'
'x+1/2,-y,-z'
'-x+1/2,y,z'
'-y,-x,-z'
'y,x,z'
'-x,y+1/2,-z'
'x,-y+1/2,z'
'y+1/2,x+1/2,-z'
'-y+1/2,-x+1/2,z'
loop_
_atom_site_label
_atom_site_fract_x
_atom_site_fract_y
_atom_site_fract_z
U1 0.250 0.250 0.246
Ni1 0.250 0.750 0.500
As1 0.250 0.250 0.658
As2 0.250 0.750 0.000
```

---

Diffraction record for TbGaNi. The XRD peak list is theoretical, not measured: it uses a cell relaxed with PBE and Cu Kα X-rays.

Main lines, in order of rising 2θ (2θ = 15–90°):
(hkl)	2θ (°)	Rel. int.
0 1 1	23.90	21
1 1 2	34.62	49
2 1 1	35.58	100
2 0 2	35.82	37
0 2 0	41.82	35
0 1 3	42.43	41

Crystal structure
```
data_TbGaNi
_chemical_formula_sum 'Tb4 Ga4 Ni4'
_cell_length_a 6.860
_cell_length_b 4.320
_cell_length_c 7.346
_cell_angle_alpha 90.00
_cell_angle_beta 90.00
_cell_angle_gamma 90.00
_space_group_name_H-M_alt 'P n m a'
_space_group_IT_number 62
_space_group_name_Hall '-P 2ac 2n'
loop_
_atom_site_label
_atom_site_fract_x
_atom_site_fract_y
_atom_site_fract_z
Tb1 0.019 0.250 0.200
Ga1 0.182 0.250 0.580
Ni1 0.205 0.750 0.408
```

---

Diffraction record for ZrBi2. The XRD peak list is theoretical, not measured: it uses a cell relaxed with PBE and Cu Kα X-rays.

Main lines, in order of rising 2θ (2θ = 15–90°):
(hkl)	2θ (°)	Rel. int.
2 1 1	28.45	59
2 2 1	30.14	54
1 4 1	32.86	100
3 4 0	34.48	49
3 2 1	35.91	58
0 5 1	36.18	51

Crystal structure
```
data_ZrBi2
_chemical_formula_sum 'Zr8 Bi16'
_cell_length_a 10.413
_cell_length_b 15.692
_cell_length_c 4.061
_cell_angle_alpha 90.00
_cell_angle_beta 90.00
_cell_angle_gamma 90.00
_space_group_name_H-M_alt 'P n n m'
_space_group_IT_number 58
_space_group_name_Hall '-P 2 2n'
loop_
_atom_site_label
_atom_site_fract_x
_atom_site_fract_y
_atom_site_fract_z
Zr1 0.023 0.249 0.000
Zr2 0.163 0.506 0.000
Bi1 0.013 0.394 0.500
Bi2 0.123 0.057 0.000
Bi3 0.154 0.850 0.500
Bi4 0.235 0.200 0.500
```